Entry 1:
Calculated X-ray powder pattern
Compound: VFe3O4
Radiation: a wavelength of 1.5418 Å
Structure: a DFT-relaxed cell (GGA+U, Alexandria)
Kinematic intensities with the Lorentz-polarization factor, no thermal factor.

Cell and atoms:
```
VFe3O4
1.0
5.3648 0.0000 0.0000
0.0000 6.3025 0.0000
-1.8336 0.0000 5.0541
V Fe O
2 6 8
Cartesian
-0.4584 0.8089 1.2635
-1.3752 5.4936 3.7905
-1.3752 2.3811 3.7905
-0.4584 3.9214 1.2635
1.3072 0.8196 3.7905
2.2240 2.3862 1.2635
1.3072 3.9163 3.7905
2.2240 5.4829 1.2635
0.4286 2.3825 2.5110
-0.4882 3.9200 5.0380
-0.4616 0.8014 5.0200
0.4552 5.5011 2.4930
3.0760 0.8014 2.5611
3.9928 5.5011 0.0340
4.0195 2.3825 0.0160
3.1027 3.9200 2.5431
```

The 6 most intense peaks (10 to 80 degrees two-theta), in order of rising 2θ:
2θ (°)  I_rel
35.03  32
35.56  31
40.99  100
58.59  10
59.32  19
59.43  19

=====

Entry 2:
Calculated X-ray powder pattern
Compound: V4Fe2O9
Radiation: a wavelength of 1.5418 Å
Structure: a DFT-relaxed cell (GGA+U, Alexandria)
Kinematic intensities with the Lorentz-polarization factor, no thermal factor.

Cell and atoms:
```
V4Fe2O9
1.0
5.1488 0.0000 0.0000
-2.5744 4.4590 0.0000
0.0000 0.0000 14.0181
V Fe O
8 4 18
Cartesian
0.0000 2.9727 0.2552
0.0000 2.9727 4.4087
0.0000 2.9727 7.2642
0.0000 2.9727 11.4177
2.5744 1.4863 2.6003
2.5744 1.4863 6.7538
2.5744 1.4863 9.6094
2.5744 1.4863 13.7629
0.0000 0.0000 2.0732
0.0000 0.0000 4.9359
0.0000 0.0000 9.0822
0.0000 0.0000 11.9449
-0.7778 1.3473 3.5045
-1.7966 3.1117 10.5136
-0.7669 1.6133 12.8450
-1.5607 2.9882 5.8360
1.5557 0.0000 3.5045
0.7778 1.3473 10.5136
0.7669 1.6133 5.8360
-0.7938 4.3164 12.8450
1.7806 0.1425 8.1821
1.0137 1.4708 1.1730
1.5607 2.9882 12.8450
0.7938 4.3164 5.8360
3.3682 0.1425 1.1730
1.8075 2.8457 8.1821
3.5931 0.0000 10.5136
1.7966 3.1117 3.5045
4.1350 1.4708 8.1821
3.3412 2.8457 1.1730
```

The 6 most intense peaks (10 to 80 degrees two-theta), in order of rising 2θ:
2θ (°)  I_rel
23.65  45
32.50  100
34.85  80
48.39  42
52.92  68
62.49  38

=====

Entry 3:
Calculated X-ray powder pattern
Compound: VFeO4
Radiation: a wavelength of 1.5418 Å
Structure: a DFT-relaxed cell (GGA+U, Alexandria)
Kinematic intensities with the Lorentz-polarization factor, no thermal factor.

Cell and atoms:
```
VFeO4
1.0
2.8456 -4.2152 0.0000
2.8456 4.2152 0.0000
0.0000 0.0000 6.2484
V Fe O
2 2 8
Cartesian
2.8456 3.0032 4.6863
2.8456 -3.0032 1.5621
2.8456 0.0000 0.0000
2.8456 0.0000 3.1242
1.5032 0.2021 1.5621
2.8456 1.9879 3.3342
2.8456 1.9879 6.0384
1.5032 -0.2021 4.6863
4.1879 0.2021 1.5621
2.8456 -1.9879 0.2100
2.8456 -1.9879 2.9142
4.1879 -0.2021 4.6863
```

The 6 most intense peaks (10 to 80 degrees two-theta), in order of rising 2θ:
2θ (°)  I_rel
23.63  74
25.49  47
31.44  48
34.43  100
35.63  54
62.36  43

=====

Entry 4:
Calculated X-ray powder pattern
Compound: V2FeWO8
Radiation: a wavelength of 1.5418 Å
Structure: a DFT-relaxed cell (GGA+U, Alexandria)
Kinematic intensities with the Lorentz-polarization factor, no thermal factor.

Cell and atoms:
```
V2FeWO8
1.0
3.2763 -3.3202 0.0000
3.2763 3.3202 0.0000
-0.1270 0.0000 5.9036
V Fe W O
2 1 1 8
Cartesian
0.0008 0.0000 1.5707
6.4248 0.0000 4.3329
3.2128 0.0000 2.9518
3.2763 0.0000 0.0000
1.1768 0.0000 5.8721
1.2729 0.0000 2.9092
3.1792 1.2971 4.4606
3.2464 1.2971 1.4430
3.1792 -1.2971 4.4606
3.2464 -1.2971 1.4430
5.1527 0.0000 2.9944
5.2488 0.0000 0.0315
```

The 6 most intense peaks (10 to 80 degrees two-theta), in order of rising 2θ:
2θ (°)  I_rel
19.03  68
26.85  100
27.23  95
35.75  67
36.27  59
53.44  61

=====

Entry 5:
Calculated X-ray powder pattern
Compound: VZnFeO4
Radiation: a wavelength of 1.5418 Å
Structure: a DFT-relaxed cell (GGA+U, Alexandria)
Kinematic intensities with the Lorentz-polarization factor, no thermal factor.

Cell and atoms:
```
VZnFeO4
1.0
-2.9918 3.0410 4.3148
2.9918 -3.0410 4.3148
2.9918 3.0410 -4.3148
V Zn Fe O
2 2 2 8
Cartesian
0.0000 0.0000 0.0000
0.0000 3.0410 0.0000
2.9918 1.5205 1.1561
0.0000 1.5205 3.1587
1.4959 1.5205 -2.1574
1.4959 -1.5205 2.1574
2.9918 2.9946 -2.4052
1.3363 1.5205 0.0240
1.6555 -1.5205 4.3387
2.9918 -0.0464 2.4052
0.0000 3.0874 1.9095
1.3363 4.5615 -0.0240
1.6555 1.5205 4.2908
0.0000 0.0464 6.7200
```

The 6 most intense peaks (10 to 80 degrees two-theta), in order of rising 2θ:
2θ (°)  I_rel
29.43  72
34.49  38
34.66  100
35.00  83
56.16  27
61.10  61

=====

Entry 6:
Calculated X-ray powder pattern
Compound: ZnFe2WO6
Radiation: a wavelength of 1.5418 Å
Structure: a DFT-relaxed cell (GGA+U, Alexandria)
Kinematic intensities with the Lorentz-polarization factor, no thermal factor.

Cell and atoms:
```
ZnFe2WO6
1.0
5.2570 0.0000 0.0000
-2.4816 4.6756 0.0000
-0.5069 -2.7378 4.8132
Zn Fe W O
1 2 1 6
Cartesian
0.0000 0.0000 0.0000
-0.2323 0.1313 3.8491
2.6499 1.5193 1.5350
0.0111 3.1641 1.9821
-1.4292 3.1092 0.5853
-0.9397 1.7104 2.8125
0.8354 1.6992 0.6571
1.7048 -0.1016 2.8881
3.4352 -0.3107 0.7242
4.0908 -1.7281 3.0452
```

The 6 most intense peaks (10 to 80 degrees two-theta), in order of rising 2θ:
2θ (°)  I_rel
29.96  100
31.99  84
32.54  70
32.96  89
34.11  67
34.26  76

=====

Entry 7:
Calculated X-ray powder pattern
Compound: YFe2O4
Radiation: a wavelength of 1.5418 Å
Structure: a DFT-relaxed cell (GGA+U, Alexandria)
Kinematic intensities with the Lorentz-polarization factor, no thermal factor.

Cell and atoms:
```
YFe2O4
1.0
-2.8821 2.8821 5.0089
2.8821 -2.8821 5.0089
2.8821 2.8821 -5.0089
Y Fe O
2 4 8
Cartesian
0.0000 1.4410 1.2522
2.8821 1.4410 3.7567
1.4410 1.4410 -2.5045
1.4410 -1.4410 2.5045
2.8821 0.0000 0.0000
0.0000 0.0000 5.0089
1.1594 0.5840 -0.7091
2.0250 0.2817 1.7954
1.7227 -0.5840 4.2998
2.0250 3.1637 -1.7954
0.8570 -0.2817 6.8043
1.1594 3.4661 0.7091
0.8570 2.6004 3.2136
1.7227 2.2981 5.7180
```

The 6 most intense peaks (10 to 80 degrees two-theta), in order of rising 2θ:
2θ (°)  I_rel
28.23  36
30.96  50
35.95  33
35.97  100
48.09  33
58.38  29

=====

Entry 8:
Calculated X-ray powder pattern
Compound: Y4FeO7
Radiation: a wavelength of 1.5418 Å
Structure: a DFT-relaxed cell (GGA+U, Alexandria)
Kinematic intensities with the Lorentz-polarization factor, no thermal factor.

Cell and atoms:
```
Y4FeO7
1.0
5.3693 -1.6408 0.0000
5.3693 1.6408 0.0000
-2.6778 0.0000 9.0947
Y Fe O
4 1 7
Cartesian
0.0000 0.0000 0.0000
0.0297 0.0000 6.9710
5.2053 0.0000 3.2262
7.9654 0.0000 5.1122
7.9538 0.0000 1.3835
1.0365 0.0000 1.9747
1.0361 0.0000 4.7332
4.0494 0.0000 0.7610
4.1098 0.0000 5.6773
4.2986 0.0000 8.5128
6.9259 0.0000 7.1320
9.0149 0.0000 3.1537
```

The 6 most intense peaks (10 to 80 degrees two-theta), in order of rising 2θ:
2θ (°)  I_rel
29.66  100
31.03  21
33.37  43
37.26  21
39.26  28
56.03  24

=====

Entry 9:
Calculated X-ray powder pattern
Compound: Yb2Fe3O7
Radiation: a wavelength of 1.5418 Å
Structure: a DFT-relaxed cell (GGA+U, Alexandria)
Kinematic intensities with the Lorentz-polarization factor, no thermal factor.

Cell and atoms:
```
Yb2Fe3O7
1.0
3.5196 0.0000 0.0000
-1.7598 3.0481 0.0000
0.0000 0.0000 29.0146
Yb Fe O
4 6 14
Cartesian
0.0000 2.0320 4.3345
0.0000 2.0320 10.1728
1.7598 1.0160 18.8418
1.7598 1.0160 24.6800
0.0000 0.0000 7.2536
0.0000 0.0000 21.7609
0.0000 2.0320 15.7469
0.0000 2.0320 27.7750
1.7598 1.0160 1.2396
1.7598 1.0160 13.2677
0.0000 0.0000 5.2904
0.0000 0.0000 9.2169
0.0000 0.0000 19.7977
0.0000 0.0000 23.7242
0.0000 2.0320 0.9053
0.0000 2.0320 7.2536
0.0000 2.0320 13.6020
0.0000 2.0320 17.5916
0.0000 2.0320 25.9303
1.7598 1.0160 3.0843
1.7598 1.0160 11.4230
1.7598 1.0160 15.4126
1.7598 1.0160 21.7609
1.7598 1.0160 28.1093
```

The 6 most intense peaks (10 to 80 degrees two-theta), in order of rising 2θ:
2θ (°)  I_rel
12.20  32
29.47  50
30.82  40
33.20  100
51.96  43
61.64  32